Calculated powder diffractogram of Nd2Al3Pt for Cu Kα, 1.54184 Å, from a GGA-PBE-relaxed structure.

Cell and atoms:
```
Nd2Al3Pt
1.0
2.828 1.633 4.472
-2.828 1.633 4.472
0.000 -3.266 4.472
Nd Al Pt
2 3 1
direct
0.125 0.125 0.125
0.875 0.875 0.875
0.000 0.500 0.500
0.500 0.000 0.500
0.500 0.500 0.000
0.500 0.500 0.500
```

Most intense lines, 10 to 90 degrees two-theta, in order of rising 2θ:
- 19.86°, d = 4.472 Å, rel. 449
- 22.48°, d = 3.956 Å, rel. 279
- 31.64°, d = 2.828 Å, rel. 917
- 37.63°, d = 2.390 Å, rel. 1000
- 38.25°, d = 2.353 Å, rel. 482
- 39.16°, d = 2.301 Å, rel. 187
- 56.35°, d = 1.633 Å, rel. 181
- 60.35°, d = 1.534 Å, rel. 254
- 60.79°, d = 1.524 Å, rel. 251
- 66.08°, d = 1.414 Å, rel. 170